Entry 1:
Dy5InGa2: calculated powder XRD pattern (copper Kα), based on a GGA-PBE-relaxed structure.
Peak positions follow from Bragg's law for the DFT cell and can differ from measured ones.

Top 10 peaks for 10° ≤ 2θ ≤ 90°, low angle first:
d/Å	2θ (°)	I_rel
3.368	26.5	21
2.998	29.8	24
2.805	31.9	100
2.740	32.7	16
2.630	34.1	46
2.451	36.7	53
1.762	51.9	13
1.749	52.3	17
1.627	56.6	21
1.446	64.4	15

Cell and atoms:
a b c (Å): 9.018 9.018 9.018
angles (deg): 129.11 129.11 74.84
Positions (direct):
Dy (0.000, 0.000, 0.000)
Dy (0.023, 0.523, 0.834)
Dy (0.189, 0.023, 0.500)
Dy (0.311, 0.811, 0.834)
Dy (0.477, 0.311, 0.500)
Dy (0.500, 0.500, 0.000)
Dy (0.523, 0.689, 0.500)
Dy (0.689, 0.189, 0.166)
Dy (0.811, 0.977, 0.500)
Dy (0.977, 0.477, 0.166)
In (0.250, 0.250, 0.000)
In (0.750, 0.750, 0.000)
Ga (0.124, 0.376, 0.500)
Ga (0.376, 0.876, 0.252)
Ga (0.624, 0.124, 0.748)
Ga (0.876, 0.624, 0.500)

---

Entry 2:
Dy2In5Ga: calculated powder XRD pattern (copper Kα), based on a GGA-PBE-relaxed structure.
Peak positions follow from Bragg's law for the DFT cell and can differ from measured ones.

Top 10 peaks for 10° ≤ 2θ ≤ 90°, low angle first:
d/Å	2θ (°)	I_rel
2.831	31.6	29
2.573	34.9	39
2.525	35.6	60
2.480	36.2	100
1.904	47.8	18
1.660	55.4	19
1.476	63.0	11
1.467	63.4	19
1.395	67.1	28
1.365	68.8	17

Cell and atoms:
a b c (Å): 5.147 6.641 6.641
angles (deg): 58.49 90.00 90.00
Positions (direct):
Dy (0.000, 0.000, 0.000)
Dy (0.500, 0.345, 0.345)
In (0.000, 0.514, 0.514)
In (0.000, 0.514, 0.996)
In (0.000, 0.996, 0.514)
In (0.500, 0.354, 0.843)
In (0.500, 0.843, 0.354)
Ga (0.500, 0.835, 0.835)

---

Entry 3:
Dy3Mg2ZnInGa2: calculated powder XRD pattern (copper Kα), based on a GGA-PBE-relaxed structure.
Peak positions follow from Bragg's law for the DFT cell and can differ from measured ones.

Top 10 peaks for 10° ≤ 2θ ≤ 90°, low angle first:
d/Å	2θ (°)	I_rel
4.506	19.7	26
3.167	28.2	21
3.099	28.8	28
2.827	31.7	37
2.790	32.1	16
2.591	34.6	40
2.553	35.1	100
2.253	40.0	30
1.822	50.1	12
1.352	69.6	13

Cell and atoms:
a b c (Å): 4.506 7.263 7.263
angles (deg): 121.43 90.00 90.00
Positions (direct):
Dy (0.000, 0.000, 0.000)
Dy (0.000, 0.112, 0.554)
Dy (0.000, 0.554, 0.112)
Mg (0.500, 0.543, 0.791)
Mg (0.500, 0.791, 0.543)
Zn (0.500, 0.294, 0.294)
In (0.000, 0.537, 0.537)
Ga (0.500, 0.220, 0.892)
Ga (0.500, 0.892, 0.220)

---

Entry 4:
DyInGaTe3: calculated powder XRD pattern (copper Kα), based on a GGA-PBE-relaxed structure.
Peak positions follow from Bragg's law for the DFT cell and can differ from measured ones.

Top 10 peaks for 10° ≤ 2θ ≤ 90°, low angle first:
d/Å	2θ (°)	I_rel
7.471	11.8	27
3.413	26.1	37
3.356	26.6	47
3.222	27.7	91
2.899	30.8	100
2.877	31.1	72
2.288	39.4	80
2.271	39.7	43
1.898	47.9	32
1.611	57.2	30

Cell and atoms:
a b c (Å): 7.808 7.808 11.509
angles (deg): 90.00 90.00 146.18
Positions (direct):
Dy (0.000, 0.000, 0.000)
Dy (0.000, 0.000, 0.500)
In (0.246, 0.754, 0.750)
In (0.754, 0.246, 0.250)
Ga (0.466, 0.534, 0.250)
Ga (0.534, 0.466, 0.750)
Te (0.081, 0.919, 0.250)
Te (0.361, 0.639, 0.052)
Te (0.361, 0.639, 0.448)
Te (0.639, 0.361, 0.552)
Te (0.639, 0.361, 0.948)
Te (0.919, 0.081, 0.750)

---

Entry 5:
Dy2Ga2Ir3Pd: calculated powder XRD pattern (copper Kα), based on a GGA-PBE-relaxed structure.
Peak positions follow from Bragg's law for the DFT cell and can differ from measured ones.

Top 10 peaks for 10° ≤ 2θ ≤ 90°, low angle first:
d/Å	2θ (°)	I_rel
3.758	23.7	29
2.895	30.9	5
2.358	38.2	100
2.170	41.6	69
1.597	57.7	30
1.404	66.6	11
1.286	73.7	30
1.253	76.0	12
1.241	76.8	13
1.179	81.7	6

Cell and atoms:
a b c (Å): 4.339 4.339 9.082
angles (deg): 90.00 90.00 120.00
Positions (direct):
Dy (0.000, 0.000, 0.000)
Dy (0.333, 0.667, 0.505)
Ga (0.667, 0.333, 0.268)
Ga (0.667, 0.333, 0.757)
Ir (0.000, 0.000, 0.340)
Ir (0.000, 0.000, 0.669)
Ir (0.333, 0.667, 0.832)
Pd (0.333, 0.667, 0.170)

---

Entry 6:
DyYGa4Ir2: calculated powder XRD pattern (copper Kα), based on a GGA-PBE-relaxed structure.
Peak positions follow from Bragg's law for the DFT cell and can differ from measured ones.

Top 10 peaks for 10° ≤ 2θ ≤ 90°, low angle first:
d/Å	2θ (°)	I_rel
5.063	17.5	26
3.347	26.6	29
2.563	35.0	84
2.475	36.3	100
2.368	38.0	50
2.169	41.6	48
2.084	43.4	47
1.947	46.6	30
1.674	54.9	25
1.599	57.6	30

Cell and atoms:
a b c (Å): 6.694 5.508 5.508
angles (deg): 46.37 90.00 90.00
Positions (direct):
Dy (0.000, 0.000, 0.000)
Y (0.500, 0.169, 0.169)
Ga (0.196, 0.718, 0.718)
Ga (0.304, 0.451, 0.451)
Ga (0.696, 0.451, 0.451)
Ga (0.804, 0.718, 0.718)
Ir (0.000, 0.288, 0.288)
Ir (0.500, 0.881, 0.881)